Entry 1:
Starting from a crystal structure in Alexandria, relaxed with GGA-PBE, the powder diffractogram of Sm2Cd3Ag was computed for Cu Kα (λ = 1.5418 Å).
Neutral-atom scattering factors, no anomalous dispersion.

Crystal structure
```
data_Sm2Cd3Ag
_chemical_formula_sum 'Sm16 Cd24 Ag8'
_cell_length_a 6.785
_cell_length_b 10.026
_cell_length_c 17.347
_cell_angle_alpha 90.00
_cell_angle_beta 90.00
_cell_angle_gamma 90.00
_symmetry_space_group_name_H-M 'F m m m'
_symmetry_Int_Tables_number 69
_symmetry_space_group_name_Hall '-F 2 2'
loop_
_atom_site_label
_atom_site_type_symbol
_atom_site_fract_x
_atom_site_fract_y
_atom_site_fract_z
Sm1 Sm 0.247 0.000 0.000
Sm2 Sm 0.250 0.250 0.250
Cd1 Cd 0.000 0.000 0.332
Cd2 Cd 0.000 0.248 0.084
Ag1 Ag 0.000 0.000 0.167
```

Most intense lines, 2θ from 5° to 70°, sorted by position:
2θ = 33.5°, d 2.673, I 100, hkl 2 0 4; 2θ = 35.8°, d 2.505, I 86, hkl 0 4 0; 2θ = 49.9°, d 1.828, I 32, hkl 2 4 4; 2θ = 62.9°, d 1.477, I 31, hkl 2 2 10; 2θ = 64.4°, d 1.446, I 15, hkl 0 6 6; 2θ = 66.6°, d 1.405, I 27, hkl 4 4 0

---

Entry 2:
Starting from a crystal structure in Alexandria, relaxed with GGA-PBE, the powder diffractogram of Sm2Cd5Ag3 was computed for Cu Kα (λ = 1.5418 Å).
Neutral-atom scattering factors, no anomalous dispersion.

Crystal structure
```
data_Sm2Cd5Ag3
_chemical_formula_sum 'Sm8 Cd20 Ag12'
_cell_length_a 12.107
_cell_length_b 13.155
_cell_length_c 6.053
_cell_angle_alpha 90.00
_cell_angle_beta 105.13
_cell_angle_gamma 90.00
_symmetry_space_group_name_H-M 'C 1 2/c 1'
_symmetry_Int_Tables_number 15
_symmetry_space_group_name_Hall '-C 2yc'
loop_
_atom_site_label
_atom_site_type_symbol
_atom_site_fract_x
_atom_site_fract_y
_atom_site_fract_z
Sm1 Sm 0.139 0.250 0.171
Cd1 Cd 0.000 0.037 0.250
Cd2 Cd 0.105 0.356 0.653
Cd3 Cd 0.249 0.014 0.000
Ag1 Ag 0.000 0.459 0.250
Ag2 Ag 0.110 0.147 0.655
```

Most intense lines, 2θ from 5° to 70°, sorted by position:
2θ = 31.5°, d 2.837, I 79, hkl 3 3 -1; 2θ = 33.4°, d 2.682, I 91, hkl 2 2 -2; 2θ = 33.6°, d 2.670, I 100, hkl 4 2 0; 2θ = 37.9°, d 2.377, I 64, hkl 2 0 2; 2θ = 39.1°, d 2.302, I 98, hkl 1 5 1; 2θ = 49.0°, d 1.860, I 23, hkl 6 0 -2

---

Entry 3:
Starting from a crystal structure in Alexandria, relaxed with GGA-PBE, the powder diffractogram of Sm2Cd3Ag4 was computed for Cu Kα (λ = 1.5418 Å).
Neutral-atom scattering factors, no anomalous dispersion.

Crystal structure
```
data_Sm2Cd3Ag4
_chemical_formula_sum 'Sm8 Cd12 Ag16'
_cell_length_a 5.947
_cell_length_b 17.021
_cell_length_c 8.156
_cell_angle_alpha 90.00
_cell_angle_beta 90.00
_cell_angle_gamma 90.00
_symmetry_space_group_name_H-M 'C m c e'
_symmetry_Int_Tables_number 64
_symmetry_space_group_name_Hall '-C 2ac 2'
loop_
_atom_site_label
_atom_site_type_symbol
_atom_site_fract_x
_atom_site_fract_y
_atom_site_fract_z
Sm1 Sm 0.000 0.101 0.100
Cd1 Cd 0.000 0.000 0.500
Cd2 Cd 0.250 0.236 0.750
Ag1 Ag 0.000 0.168 0.479
Ag2 Ag 0.250 0.068 0.750
```

Most intense lines, 2θ from 5° to 70°, sorted by position:
2θ = 32.2°, d 2.778, I 88, hkl 1 5 1; 2θ = 33.8°, d 2.654, I 56, hkl 2 2 1; 2θ = 34.6°, d 2.590, I 50, hkl 0 2 3; 2θ = 37.4°, d 2.403, I 100, hkl 2 0 2; 2θ = 38.7°, d 2.329, I 49, hkl 0 6 2; 2θ = 64.4°, d 1.447, I 39, hkl 2 6 4